For Ba3Ce2C5O15F2, a crystal structure in the Materials Project, relaxed with PBE gives the simulated powder diffractogram in this record (Cu Kα).
Neutral-atom scattering factors, no anomalous dispersion.

Crystal structure
Unit cell a=21.7218 b=5.2074 c=14.3447 alpha=90.00 beta=97.62 gamma=90.00
Space group Cm (No. 8)
Symmetry-distinct sites (fractional):
Ba 0.0000 0.0000 0.0000 (multiplicity 2)
Ba 0.0088 0.5000 0.4817 (multiplicity 2)
Ba 0.1750 0.0000 0.5673 (multiplicity 2)
Ba 0.1968 0.5000 0.1009 (multiplicity 2)
Ba 0.3019 0.0000 0.9037 (multiplicity 2)
Ba 0.3249 0.5000 0.4034 (multiplicity 2)
Ce 0.1005 0.5000 0.8111 (multiplicity 2)
Ce 0.1103 0.0000 0.2672 (multiplicity 2)
Ce 0.3910 0.5000 0.7085 (multiplicity 2)
Ce 0.4031 0.0000 0.1697 (multiplicity 2)
C 0.0446 0.0000 0.6793 (multiplicity 2)
C 0.0454 0.5000 0.1762 (multiplicity 2)
C 0.1544 0.0000 0.9180 (multiplicity 2)
C 0.1546 0.5000 0.4194 (multiplicity 2)
C 0.2518 0.0000 0.2629 (multiplicity 2)
C 0.2561 0.5000 0.7493 (multiplicity 2)
C 0.3378 0.0000 0.5588 (multiplicity 2)
C 0.3432 0.5000 0.0826 (multiplicity 2)
C 0.4556 0.0000 0.8200 (multiplicity 2)
C 0.4574 0.5000 0.3121 (multiplicity 2)
O 0.0162 0.0000 0.3381 (multiplicity 2)
O 0.0158 0.2851 0.1618 (multiplicity 4)
O 0.0753 0.2138 0.6884 (multiplicity 4)
O 0.0954 0.0000 0.8883 (multiplicity 2)
O 0.1040 0.5000 0.2081 (multiplicity 2)
O 0.1236 0.2840 0.4016 (multiplicity 4)
O 0.1836 0.2178 0.9300 (multiplicity 4)
O 0.1976 0.5000 0.7525 (multiplicity 2)
O 0.2110 0.5000 0.4545 (multiplicity 2)
O 0.2204 0.2137 0.2590 (multiplicity 4)
O 0.2865 0.0000 0.5032 (multiplicity 2)
O 0.2876 0.2871 0.7476 (multiplicity 4)
O 0.3117 0.0000 0.2730 (multiplicity 2)
O 0.3133 0.2830 0.0737 (multiplicity 4)
O 0.3652 0.2159 0.5843 (multiplicity 4)
O 0.3974 0.0000 0.7867 (multiplicity 2)
O 0.4028 0.5000 0.1037 (multiplicity 2)
O 0.4268 0.2847 0.2991 (multiplicity 4)
O 0.4855 0.2152 0.8349 (multiplicity 4)
O 0.4860 0.5000 0.6543 (multiplicity 2)
F 0.1222 0.0000 0.1010 (multiplicity 2)
F 0.1233 0.5000 0.5697 (multiplicity 2)
F 0.4221 0.0000 0.0043 (multiplicity 2)
F 0.4444 0.5000 0.4750 (multiplicity 2)

Peak list (10 most intense, 10° ≤ 2θ ≤ 90°, by intensity)
2θ/deg	d [Å]	Rel. int.
26.16	3.407	100
21.52	4.130	77
26.30	3.389	42
35.17	2.552	31
21.99	4.041	30
41.25	2.189	27
39.57	2.277	25
34.45	2.603	24
43.23	2.093	20
25.33	3.516	19

***

For MgSnAs2, a crystal structure in the Materials Project, relaxed with PBE gives the simulated powder diffractogram in this record (Cu Kα).
Neutral-atom scattering factors, no anomalous dispersion.

Crystal structure
Unit cell a=6.1613 b=6.1613 c=12.0520 alpha=90.00 beta=90.00 gamma=90.00
Space group I-42d (No. 122)
Symmetry-distinct sites (fractional):
Mg 0.0000 0.0000 0.0000 (multiplicity 4)
Sn 0.0000 0.0000 0.5000 (multiplicity 4)
As 0.2494 0.7500 0.1250 (multiplicity 8)

Peak list (10 most intense, 10° ≤ 2θ ≤ 90°, by intensity)
2θ/deg	d [Å]	Rel. int.
25.22	3.531	100
41.94	2.154	52
49.14	1.854	33
16.16	5.486	27
41.45	2.178	27
75.95	1.253	18
50.00	1.824	15
66.90	1.399	13
33.36	2.686	10
60.07	1.540	9

***

For LiV2S4, a crystal structure in the Materials Project, relaxed with PBE gives the simulated powder diffractogram in this record (Cu Kα).
Neutral-atom scattering factors, no anomalous dispersion.

Crystal structure
Unit cell a=6.8948 b=7.0141 c=9.7526 alpha=90.00 beta=90.00 gamma=90.00
Space group Imma (No. 74)
Symmetry-distinct sites (fractional):
Li 0.0000 0.0000 0.0000 (multiplicity 4)
V 0.0000 0.0000 0.5000 (multiplicity 4)
V 0.2500 0.2500 0.2500 (multiplicity 4)
S 0.0000 0.0082 0.2541 (multiplicity 8)
S 0.2408 0.2500 0.4974 (multiplicity 8)

Peak list (10 most intense, 10° ≤ 2θ ≤ 90°, by intensity)
2θ/deg	d [Å]	Rel. int.
36.55	2.458	100
52.89	1.731	61
15.56	5.694	50
36.87	2.438	49
15.74	5.630	41
30.33	2.947	28
89.80	1.092	20
52.16	1.754	16
65.58	1.424	15
53.13	1.724	15

***

For DyNi3, a crystal structure in the Materials Project, relaxed with PBE gives the simulated powder diffractogram in this record (Cu Kα).
Neutral-atom scattering factors, no anomalous dispersion.

Crystal structure
Unit cell a=4.9544 b=4.9544 c=24.2990 alpha=90.00 beta=90.00 gamma=120.00
Space group R-3m (No. 166, hexagonal axes)
Symmetry-distinct sites (fractional):
Dy 0.0000 0.0000 0.0000 (multiplicity 3)
Dy 0.0000 0.0000 0.1393 (multiplicity 6)
Ni 0.0000 0.0000 0.3332 (multiplicity 6)
Ni 0.0000 0.0000 0.5000 (multiplicity 3)
Ni 0.9996 0.4998 0.0820 (multiplicity 18)

Peak list (10 most intense, 10° ≤ 2θ ≤ 90°, by intensity)
2θ/deg	d [Å]	Rel. int.
42.79	2.113	100
36.25	2.478	87
33.20	2.699	48
42.29	2.137	36
69.71	1.349	33
46.24	1.963	26
65.22	1.431	24
44.78	2.024	20
76.98	1.239	20
63.29	1.469	14

***

For UNi2B2C, a crystal structure in the Materials Project, relaxed with PBE gives the simulated powder diffractogram in this record (Cu Kα).
Neutral-atom scattering factors, no anomalous dispersion.

Crystal structure
Unit cell a=3.4850 b=3.4850 c=10.5567 alpha=90.00 beta=90.00 gamma=90.00
Space group I4/mmm (No. 139)
Symmetry-distinct sites (fractional):
U 0.0000 0.0000 0.0000 (multiplicity 2)
Ni 0.0000 0.5000 0.2500 (multiplicity 4)
B 0.0000 0.0000 0.3571 (multiplicity 4)
C 0.0000 0.0000 0.5000 (multiplicity 2)

Peak list (10 most intense, 10° ≤ 2θ ≤ 90°, by intensity)
2θ/deg	d [Å]	Rel. int.
40.39	2.233	100
26.94	3.309	90
36.28	2.476	54
33.97	2.639	38
65.15	1.432	26
52.52	1.743	25
64.03	1.454	24
60.00	1.542	22
65.50	1.425	20
50.54	1.806	20

***

For Ba2PtAu, a crystal structure in the Materials Project, relaxed with PBE gives the simulated powder diffractogram in this record (Cu Kα).
Neutral-atom scattering factors, no anomalous dispersion.

Crystal structure
Unit cell a=4.8499 b=13.4743 c=12.0703 alpha=90.00 beta=90.00 gamma=90.00
Space group Pmc2_1 (No. 26)
Symmetry-distinct sites (fractional):
Ba 0.0000 0.0792 0.0000 (multiplicity 2)
Ba 0.0000 0.2453 0.5093 (multiplicity 2)
Ba 0.0000 0.4159 0.0064 (multiplicity 2)
Ba 0.5000 0.0879 0.7251 (multiplicity 2)
Ba 0.5000 0.2556 0.2344 (multiplicity 2)
Ba 0.5000 0.4178 0.7316 (multiplicity 2)
Pt 0.0000 0.2490 0.7920 (multiplicity 2)
Pt 0.0000 0.4159 0.2930 (multiplicity 2)
Pt 0.5000 0.0835 0.4422 (multiplicity 2)
Au 0.0000 0.0846 0.2910 (multiplicity 2)
Au 0.5000 0.2503 0.9419 (multiplicity 2)
Au 0.5000 0.4179 0.4442 (multiplicity 2)

Peak list (10 most intense, 10° ≤ 2θ ≤ 90°, by intensity)
2θ/deg	d [Å]	Rel. int.
35.20	2.549	100
28.07	3.179	94
35.02	2.562	38
37.07	2.425	34
40.14	2.246	31
14.68	6.035	26
29.81	2.997	23
54.32	1.689	22
55.79	1.648	21
29.60	3.018	20

***

For Ba3Ti2N4, a crystal structure in the Materials Project, relaxed with PBE gives the simulated powder diffractogram in this record (Cu Kα).
Neutral-atom scattering factors, no anomalous dispersion.

Crystal structure
Unit cell a=6.3817 b=10.6439 c=10.3824 alpha=90.00 beta=90.00 gamma=90.00
Space group Pnna (No. 52)
Symmetry-distinct sites (fractional):
Ba 0.1182 0.1589 0.0800 (multiplicity 8)
Ba 0.2500 0.0000 0.4006 (multiplicity 4)
Ti 0.1466 0.2500 0.7500 (multiplicity 4)
Ti 0.2500 0.0000 0.7340 (multiplicity 4)
N 0.0261 0.0885 0.8275 (multiplicity 8)
N 0.1654 0.6492 0.8626 (multiplicity 8)

Peak list (10 most intense, 10° ≤ 2θ ≤ 90°, by intensity)
2θ/deg	d [Å]	Rel. int.
29.36	3.042	100
26.55	3.357	96
33.67	2.662	81
30.54	2.927	76
33.88	2.646	54
29.22	3.056	46
45.58	1.990	26
53.40	1.716	22
27.78	3.211	21
41.20	2.191	19

***

For ReOF4, a crystal structure in the Materials Project, relaxed with PBE gives the simulated powder diffractogram in this record (Cu Kα).
Neutral-atom scattering factors, no anomalous dispersion.

Crystal structure
Unit cell a=19.2484 b=5.6668 c=14.8998 alpha=90.00 beta=113.70 gamma=90.00
Space group C2/c (No. 15)
Symmetry-distinct sites (fractional):
Re 0.1108 0.0837 0.1810 (multiplicity 8)
Re 0.1339 0.4113 0.8887 (multiplicity 8)
O 0.1318 0.1259 0.6166 (multiplicity 8)
O 0.1738 0.3902 0.4784 (multiplicity 8)
F 0.0059 0.1379 0.1115 (multiplicity 8)
F 0.0376 0.3564 0.8892 (multiplicity 8)
F 0.0814 0.1180 0.7677 (multiplicity 8)
F 0.0831 0.3724 0.2778 (multiplicity 8)
F 0.1277 0.3590 0.1220 (multiplicity 8)
F 0.1678 0.1287 0.9600 (multiplicity 8)
F 0.2049 0.1308 0.2881 (multiplicity 8)
F 0.2059 0.3654 0.8340 (multiplicity 8)

Peak list (10 most intense, 10° ≤ 2θ ≤ 90°, by intensity)
2θ/deg	d [Å]	Rel. int.
20.15	4.406	100
22.23	3.999	100
22.05	4.031	88
24.93	3.572	36
29.07	3.072	29
23.89	3.724	28
36.66	2.451	26
32.27	2.774	26
19.09	4.650	25
12.98	6.822	24